Simulated powder diffractogram of BWO4 for CuKα, from a DFT-relaxed cell (PBE+U, Alexandria).
No peak broadening, texture or thermal motion is included.

Atomic structure:
```
BWO4
1.0
-2.425 2.425 3.947
2.425 -2.425 3.947
2.425 2.425 -3.947
B W O
1 1 4
Direct
0.000 0.000 0.000 B
0.750 0.250 0.500 W
0.020 0.676 0.907 O
0.324 0.231 0.343 O
0.769 0.112 0.093 O
0.888 0.980 0.657 O
```

Principal peaks in the range 2θ = 10–90°, in order of rising 2θ:
Position (°2θ)	Rel. int.
21.50	1000
22.52	137
25.98	215
34.65	304
37.07	82
38.94	158
43.26	251
43.82	138
54.85	173
65.27	87